No. 1
Calculated powder X-ray diffraction pattern of Mn3Au for λ = 1.5418 Å (Cu Kα), from a DFT-relaxed cell (GGA-PBE, Alexandria).
Lines closer than 0.1° are merged.

Structural model:
```
data_Mn3Au
_chemical_formula_sum 'Mn6 Au2'
_space_group_name_H-M_alt 'P 1'
_space_group_IT_number 1
_space_group_name_Hall 'P 1'
_cell_length_a 4.569
_cell_length_b 5.520
_cell_length_c 4.916
_cell_angle_alpha 90.00
_cell_angle_beta 90.00
_cell_angle_gamma 90.00
loop_
_atom_site_label
_atom_site_type_symbol
_atom_site_fract_x
_atom_site_fract_y
_atom_site_fract_z
Mn1 Mn 0.250 0.002 0.154
Mn2 Mn 0.250 0.250 0.649
Mn3 Mn 0.250 0.498 0.154
Mn4 Mn 0.750 0.502 0.846
Mn5 Mn 0.750 0.750 0.351
Mn6 Mn 0.750 0.998 0.846
Au1 Au 0.250 0.750 0.662
Au2 Au 0.750 0.250 0.338
```

Most intense lines, 2θ from 5° to 70°, by angle:
- 24.24 deg, I = 35
- 25.30 deg, I = 40
- 26.63 deg, I = 26
- 37.37 deg, I = 31
- 39.44 deg, I = 44
- 41.72 deg, I = 63
- 42.45 deg, I = 100
- 46.84 deg, I = 13
- 55.46 deg, I = 19
- 66.34 deg, I = 17

***

No. 2
Calculated powder X-ray diffraction pattern of YMg2Cr for λ = 1.5418 Å (Cu Kα), from a DFT-relaxed cell (GGA-PBE, Alexandria).
Lines closer than 0.1° are merged.

Structural model:
```
data_YMg2Cr
_chemical_formula_sum 'Y1 Mg2 Cr1'
_space_group_name_H-M_alt 'P 1'
_space_group_IT_number 1
_space_group_name_Hall 'P 1'
_cell_length_a 5.052
_cell_length_b 5.052
_cell_length_c 5.052
_cell_angle_alpha 60.00
_cell_angle_beta 60.00
_cell_angle_gamma 60.00
loop_
_atom_site_label
_atom_site_type_symbol
_atom_site_fract_x
_atom_site_fract_y
_atom_site_fract_z
Y1 Y 0.000 0.000 0.000
Mg1 Mg 0.250 0.250 0.250
Mg2 Mg 0.500 0.500 0.500
Cr1 Cr 0.750 0.750 0.750
```

Most intense lines, 2θ from 5° to 70°, by angle:
- 21.54 deg, I = 32
- 24.93 deg, I = 4
- 35.54 deg, I = 100
- 41.94 deg, I = 16
- 43.90 deg, I = 1
- 51.14 deg, I = 17
- 56.12 deg, I = 7
- 57.71 deg, I = 2
- 63.83 deg, I = 33
- 68.21 deg, I = 5

***

No. 3
Calculated powder X-ray diffraction pattern of DyPaMn17 for λ = 1.5418 Å (Cu Kα), from a DFT-relaxed cell (GGA-PBE, Alexandria).
Lines closer than 0.1° are merged.

Structural model:
```
data_DyPaMn17
_chemical_formula_sum 'Dy1 Pa1 Mn17'
_space_group_name_H-M_alt 'P 1'
_space_group_IT_number 1
_space_group_name_Hall 'P 1'
_cell_length_a 6.299
_cell_length_b 6.299
_cell_length_c 6.299
_cell_angle_alpha 86.13
_cell_angle_beta 86.13
_cell_angle_gamma 86.13
loop_
_atom_site_label
_atom_site_type_symbol
_atom_site_fract_x
_atom_site_fract_y
_atom_site_fract_z
Dy1 Dy 0.000 0.000 0.000
Pa1 Pa 0.295 0.295 0.295
Mn1 Mn 0.005 0.005 0.515
Mn2 Mn 0.005 0.515 0.005
Mn3 Mn 0.146 0.650 0.650
Mn4 Mn 0.289 0.289 0.768
Mn5 Mn 0.289 0.768 0.289
Mn6 Mn 0.374 0.646 0.921
Mn7 Mn 0.374 0.921 0.646
Mn8 Mn 0.515 0.005 0.005
Mn9 Mn 0.543 0.543 0.543
Mn10 Mn 0.646 0.374 0.921
Mn11 Mn 0.646 0.921 0.374
Mn12 Mn 0.650 0.146 0.650
Mn13 Mn 0.650 0.650 0.146
Mn14 Mn 0.745 0.745 0.745
Mn15 Mn 0.768 0.289 0.289
Mn16 Mn 0.921 0.374 0.646
Mn17 Mn 0.921 0.646 0.374
```

Most intense lines, 2θ from 5° to 70°, by angle:
- 20.65 deg, I = 24
- 31.07 deg, I = 59
- 32.72 deg, I = 31
- 36.17 deg, I = 51
- 39.32 deg, I = 63
- 42.01 deg, I = 89
- 43.27 deg, I = 100
- 44.82 deg, I = 37
- 46.02 deg, I = 20
- 61.89 deg, I = 33

***

No. 4
Calculated powder X-ray diffraction pattern of CeTl2GaCl6 for λ = 1.5418 Å (Cu Kα), from a DFT-relaxed cell (GGA-PBE, Alexandria).
Lines closer than 0.1° are merged.

Structural model:
```
data_CeTl2GaCl6
_chemical_formula_sum 'Ce2 Tl4 Ga2 Cl12'
_space_group_name_H-M_alt 'P 1'
_space_group_IT_number 1
_space_group_name_Hall 'P 1'
_cell_length_a 7.536
_cell_length_b 8.056
_cell_length_c 13.043
_cell_angle_alpha 90.00
_cell_angle_beta 123.37
_cell_angle_gamma 90.00
loop_
_atom_site_label
_atom_site_type_symbol
_atom_site_fract_x
_atom_site_fract_y
_atom_site_fract_z
Ce1 Ce 0.000 0.000 0.000
Ce2 Ce 0.000 0.500 0.500
Tl1 Tl 0.286 0.072 0.759
Tl2 Tl 0.286 0.428 0.259
Tl3 Tl 0.714 0.572 0.741
Tl4 Tl 0.714 0.928 0.241
Ga1 Ga 0.500 0.000 0.500
Ga2 Ga 0.500 0.500 0.000
Cl1 Cl 0.118 0.046 0.240
Cl2 Cl 0.118 0.454 0.740
Cl3 Cl 0.245 0.714 0.067
Cl4 Cl 0.245 0.786 0.567
Cl5 Cl 0.351 0.182 0.051
Cl6 Cl 0.351 0.318 0.551
Cl7 Cl 0.649 0.682 0.449
Cl8 Cl 0.649 0.818 0.949
Cl9 Cl 0.755 0.214 0.433
Cl10 Cl 0.755 0.286 0.933
Cl11 Cl 0.882 0.546 0.260
Cl12 Cl 0.882 0.954 0.760
```

Most intense lines, 2θ from 5° to 70°, by angle:
- 22.07 deg, I = 36
- 22.69 deg, I = 100
- 23.26 deg, I = 100
- 23.60 deg, I = 66
- 32.55 deg, I = 46
- 32.89 deg, I = 38
- 36.38 deg, I = 27
- 39.96 deg, I = 24
- 40.64 deg, I = 36
- 41.65 deg, I = 37

***

No. 5
Calculated powder X-ray diffraction pattern of Tb8Pr3Mg for λ = 1.5418 Å (Cu Kα), from a DFT-relaxed cell (GGA-PBE, Alexandria).
Lines closer than 0.1° are merged.

Structural model:
```
data_Tb8Pr3Mg
_chemical_formula_sum 'Tb8 Pr3 Mg1'
_space_group_name_H-M_alt 'P 1'
_space_group_IT_number 1
_space_group_name_Hall 'P 1'
_cell_length_a 8.353
_cell_length_b 8.353
_cell_length_c 8.353
_cell_angle_alpha 117.14
_cell_angle_beta 117.14
_cell_angle_gamma 95.02
loop_
_atom_site_label
_atom_site_type_symbol
_atom_site_fract_x
_atom_site_fract_y
_atom_site_fract_z
Tb1 Tb 0.128 0.128 0.748
Tb2 Tb 0.250 0.734 0.000
Tb3 Tb 0.266 0.266 0.516
Tb4 Tb 0.380 0.380 0.252
Tb5 Tb 0.620 0.872 0.000
Tb6 Tb 0.734 0.250 0.000
Tb7 Tb 0.750 0.750 0.484
Tb8 Tb 0.872 0.620 0.000
Pr1 Pr 0.000 0.000 0.000
Pr2 Pr 0.250 0.750 0.500
Pr3 Pr 0.750 0.250 0.500
Mg1 Mg 0.500 0.500 0.000
```

Most intense lines, 2θ from 5° to 70°, by angle:
- 24.17 deg, I = 95
- 25.84 deg, I = 100
- 28.99 deg, I = 79
- 31.72 deg, I = 78
- 33.12 deg, I = 69
- 36.29 deg, I = 89
- 43.50 deg, I = 52
- 44.59 deg, I = 69
- 49.50 deg, I = 34
- 69.53 deg, I = 43

***

No. 6
Calculated powder X-ray diffraction pattern of U2Ni3P4 for λ = 1.5418 Å (Cu Kα), from a DFT-relaxed cell (GGA-PBE, Alexandria).
Lines closer than 0.1° are merged.

Structural model:
```
data_U2Ni3P4
_chemical_formula_sum 'U2 Ni3 P4'
_space_group_name_H-M_alt 'P 1'
_space_group_IT_number 1
_space_group_name_Hall 'P 1'
_cell_length_a 7.219
_cell_length_b 6.069
_cell_length_c 5.385
_cell_angle_alpha 77.88
_cell_angle_beta 55.28
_cell_angle_gamma 46.83
loop_
_atom_site_label
_atom_site_type_symbol
_atom_site_fract_x
_atom_site_fract_y
_atom_site_fract_z
U1 U 0.142 0.142 0.858
U2 U 0.858 0.858 0.142
Ni1 Ni 0.000 0.000 0.500
Ni2 Ni 0.500 0.500 0.000
Ni3 Ni 0.500 0.500 0.500
P1 P 0.182 0.510 0.490
P2 P 0.490 0.818 0.182
P3 P 0.510 0.182 0.818
P4 P 0.818 0.490 0.510
```

Most intense lines, 2θ from 5° to 70°, by angle:
- 18.86 deg, I = 52
- 21.04 deg, I = 50
- 31.35 deg, I = 100
- 34.28 deg, I = 71
- 38.04 deg, I = 42
- 38.26 deg, I = 30
- 39.37 deg, I = 57
- 41.70 deg, I = 98
- 48.08 deg, I = 30
- 66.42 deg, I = 24

***

No. 7
Calculated powder X-ray diffraction pattern of Ni7Sn2Ge2Sb for λ = 1.5418 Å (Cu Kα), from a DFT-relaxed cell (GGA-PBE, Alexandria).
Lines closer than 0.1° are merged.

Structural model:
```
data_Ni7Sn2Ge2Sb
_chemical_formula_sum 'Ni7 Sn2 Ge2 Sb1'
_space_group_name_H-M_alt 'P 1'
_space_group_IT_number 1
_space_group_name_Hall 'P 1'
_cell_length_a 3.601
_cell_length_b 3.601
_cell_length_c 14.823
_cell_angle_alpha 92.99
_cell_angle_beta 92.99
_cell_angle_gamma 90.85
loop_
_atom_site_label
_atom_site_type_symbol
_atom_site_fract_x
_atom_site_fract_y
_atom_site_fract_z
Ni1 Ni 0.000 0.000 0.000
Ni2 Ni 0.028 0.529 0.129
Ni3 Ni 0.121 0.121 0.425
Ni4 Ni 0.471 0.972 0.871
Ni5 Ni 0.529 0.028 0.129
Ni6 Ni 0.879 0.879 0.575
Ni7 Ni 0.972 0.471 0.871
Sn1 Sn 0.057 0.057 0.254
Sn2 Sn 0.943 0.943 0.746
Ge1 Ge 0.360 0.360 0.577
Ge2 Ge 0.640 0.640 0.423
Sb1 Sb 0.500 0.500 0.000
```

Most intense lines, 2θ from 5° to 70°, by angle:
- 5.98 deg, I = 100
- 26.99 deg, I = 39
- 28.17 deg, I = 45
- 34.98 deg, I = 29
- 39.61 deg, I = 27
- 42.88 deg, I = 99
- 45.02 deg, I = 51
- 45.52 deg, I = 35
- 46.89 deg, I = 33
- 50.81 deg, I = 85

***

No. 8
Calculated powder X-ray diffraction pattern of HfTaNi4 for λ = 1.5418 Å (Cu Kα), from a DFT-relaxed cell (GGA-PBE, Alexandria).
Lines closer than 0.1° are merged.

Structural model:
```
data_HfTaNi4
_chemical_formula_sum 'Hf2 Ta2 Ni8'
_space_group_name_H-M_alt 'P 1'
_space_group_IT_number 1
_space_group_name_Hall 'P 1'
_cell_length_a 6.471
_cell_length_b 6.471
_cell_length_c 6.471
_cell_angle_alpha 139.01
_cell_angle_beta 103.64
_cell_angle_gamma 90.54
loop_
_atom_site_label
_atom_site_type_symbol
_atom_site_fract_x
_atom_site_fract_y
_atom_site_fract_z
Hf1 Hf 0.374 0.124 0.250
Hf2 Hf 0.626 0.876 0.750
Ta1 Ta 0.126 0.376 0.750
Ta2 Ta 0.874 0.624 0.250
Ni1 Ni 0.047 0.133 0.914
Ni2 Ni 0.201 0.619 0.582
Ni3 Ni 0.280 0.867 0.414
Ni4 Ni 0.464 0.381 0.082
Ni5 Ni 0.536 0.619 0.918
Ni6 Ni 0.720 0.133 0.586
Ni7 Ni 0.799 0.381 0.418
Ni8 Ni 0.953 0.867 0.086
```

Most intense lines, 2θ from 5° to 70°, by angle:
- 22.22 deg, I = 20
- 29.98 deg, I = 37
- 39.58 deg, I = 34
- 39.79 deg, I = 34
- 44.14 deg, I = 100
- 45.86 deg, I = 6
- 46.05 deg, I = 6
- 57.38 deg, I = 22
- 62.30 deg, I = 5
- 65.14 deg, I = 5